Simulated XRD peak list of Sr2PrGaCu2O7 for CuKα, from a PBE-relaxed structure.
Neutral-atom scattering factors, no anomalous dispersion.

```
data_Sr2PrGaCu2O7
_chemical_formula_sum 'Sr8 Pr4 Ga4 Cu8 O28'
_symmetry_space_group_name_H-M 'I m a 2'
_symmetry_Int_Tables_number 46
_symmetry_space_group_name_Hall 'I 2 -2a'
_cell_length_a 23.3212
_cell_length_b 5.6080
_cell_length_c 5.4798
_cell_angle_alpha 90.00
_cell_angle_beta 90.00
_cell_angle_gamma 90.00
loop_
_atom_site_label
_atom_site_type_symbol
_atom_site_fract_x
_atom_site_fract_y
_atom_site_fract_z
Sr1 Sr 0.1530 0.0195 0.0000
Pr1 Pr 0.0000 0.0000 0.9972
Ga1 Ga 0.2500 0.5708 0.0331
Cu1 Cu 0.0761 0.5015 0.9965
O1 O 0.0659 0.2486 0.7474
O2 O 0.0690 0.7492 0.2469
O3 O 0.1777 0.0483 0.4670
O4 O 0.2500 0.6212 0.3811
```

The 10 most intense peaks (10 to 90 degrees two-theta), by angle:
| d_spacing | intensity | h k l |
| --- | --- | --- |
| 2.804 | 26.5 | 0 2 0 |
| 2.760 | 100.0 | 6 1 1 |
| 2.740 | 28.3 | 0 0 2 |
| 2.339 | 18.9 | 8 1 1 |
| 1.960 | 29.3 | 0 2 2 |
| 1.943 | 9.9 | 12 0 0 |
| 1.610 | 16.8 | 6 3 1 |
| 1.597 | 6.8 | 12 2 0 |
| 1.586 | 26.9 | 6 1 3 |
| 1.380 | 9.6 | 12 2 2 |

***

Simulated XRD peak list of CsRb2LuCl6 for CuKα, from a PBE-relaxed structure.
Neutral-atom scattering factors, no anomalous dispersion.

```
data_CsRb2LuCl6
_chemical_formula_sum 'Cs4 Rb8 Lu4 Cl24'
_symmetry_space_group_name_H-M 'F m -3 m'
_symmetry_Int_Tables_number 225
_symmetry_space_group_name_Hall '-F 4 2 3'
_cell_length_a 11.6783
_cell_length_b 11.6783
_cell_length_c 11.6783
_cell_angle_alpha 90.00
_cell_angle_beta 90.00
_cell_angle_gamma 90.00
loop_
_atom_site_label
_atom_site_type_symbol
_atom_site_fract_x
_atom_site_fract_y
_atom_site_fract_z
Cs1 Cs 0.0000 0.0000 0.0000
Rb1 Rb 0.2500 0.2500 0.2500
Lu1 Lu 0.0000 0.0000 0.5000
Cl1 Cl 0.0000 0.0000 0.2789
```

The 10 most intense peaks (10 to 90 degrees two-theta), by angle:
| d_spacing | intensity | h k l |
| --- | --- | --- |
| 5.839 | 29.8 | 2 0 0 |
| 4.129 | 100.0 | 2 2 0 |
| 2.920 | 56.5 | 4 0 0 |
| 2.611 | 12.7 | 4 2 0 |
| 2.384 | 44.1 | 4 2 2 |
| 2.064 | 37.9 | 4 4 0 |
| 1.847 | 26.0 | 6 2 0 |
| 1.561 | 28.1 | 6 4 2 |
| 1.306 | 14.5 | 8 4 0 |
| 1.145 | 15.5 | 10 2 0 |

***

Simulated XRD peak list of ReSbO2F8 for CuKα, from a PBE-relaxed structure.
Neutral-atom scattering factors, no anomalous dispersion.

```
data_ReSbO2F8
_chemical_formula_sum 'Re4 Sb4 O8 F32'
_symmetry_space_group_name_H-M 'P 1 21/c 1'
_symmetry_Int_Tables_number 14
_symmetry_space_group_name_Hall '-P 2ybc'
_cell_length_a 5.7621
_cell_length_b 10.4104
_cell_length_c 12.9240
_cell_angle_alpha 90.00
_cell_angle_beta 99.73
_cell_angle_gamma 90.00
loop_
_atom_site_label
_atom_site_type_symbol
_atom_site_fract_x
_atom_site_fract_y
_atom_site_fract_z
Re1 Re 0.1665 0.2394 0.2856
Sb1 Sb 0.5000 0.0000 0.0000
Sb2 Sb 0.5000 0.0000 0.5000
O1 O 0.0233 0.0992 0.2521
O2 O 0.0931 0.1698 0.6760
F1 F 0.0321 0.6901 0.6310
F2 F 0.2287 0.5740 0.0397
F3 F 0.2530 0.0668 0.0639
F4 F 0.3082 0.6404 0.4466
F5 F 0.3100 0.1538 0.4443
F6 F 0.3847 0.1001 0.8687
F7 F 0.4269 0.5789 0.8660
F8 F 0.4705 0.1937 0.2706
```

The 10 most intense peaks (10 to 90 degrees two-theta), by angle:
| d_spacing | intensity | h k l |
| --- | --- | --- |
| 5.433 | 17.8 | 0 1 2 |
| 4.986 | 50.1 | 1 1 0 |
| 4.647 | 64.9 | 1 0 -2 |
| 4.030 | 100.0 | 0 2 2 |
| 3.837 | 45.6 | 1 2 0 |
| 3.670 | 31.8 | 1 1 2 |
| 3.046 | 14.6 | 0 1 4 |
| 2.600 | 37.3 | 0 4 0 |
| 2.270 | 17.4 | 1 4 -2 |
| 1.502 | 15.9 | 2 0 -8 |

***

Simulated XRD peak list of Sr5Mg for CuKα, from a PBE-relaxed structure.
Neutral-atom scattering factors, no anomalous dispersion.

```
data_Sr5Mg
_chemical_formula_sum 'Sr5 Mg1'
_symmetry_space_group_name_H-M 'P -6 m 2'
_symmetry_Int_Tables_number 187
_symmetry_space_group_name_Hall 'P -6 2'
_cell_length_a 4.2762
_cell_length_b 4.2762
_cell_length_c 19.1262
_cell_angle_alpha 90.00
_cell_angle_beta 90.00
_cell_angle_gamma 120.00
loop_
_atom_site_label
_atom_site_type_symbol
_atom_site_fract_x
_atom_site_fract_y
_atom_site_fract_z
Sr1 Sr 0.0000 0.0000 0.0000
Sr2 Sr 0.0000 0.0000 0.3656
Sr3 Sr 0.6667 0.3333 0.1815
Mg1 Mg 0.6667 0.3333 0.5000
```

The 10 most intense peaks (10 to 90 degrees two-theta), by angle:
| d_spacing | intensity | h k l |
| --- | --- | --- |
| 3.825 | 16.2 | 0 0 5 |
| 3.703 | 30.1 | 1 0 0 |
| 3.453 | 16.2 | 1 0 2 |
| 3.202 | 100.0 | 1 0 3 |
| 3.188 | 12.6 | 0 0 6 |
| 2.138 | 25.2 | 1 1 0 |
| 2.009 | 22.1 | 1 0 8 |
| 1.866 | 13.1 | 1 1 5 |
| 1.777 | 31.5 | 2 0 3 |
| 1.367 | 17.2 | 2 1 3 |

***

Simulated XRD peak list of Ho3Cu4Sn4 for CuKα, from a PBE-relaxed structure.
Neutral-atom scattering factors, no anomalous dispersion.

```
data_Ho3Cu4Sn4
_chemical_formula_sum 'Ho6 Cu8 Sn8'
_symmetry_space_group_name_H-M 'C 1 2/m 1'
_symmetry_Int_Tables_number 12
_symmetry_space_group_name_Hall '-C 2y'
_cell_length_a 16.2050
_cell_length_b 4.4617
_cell_length_c 6.9396
_cell_angle_alpha 90.00
_cell_angle_beta 115.20
_cell_angle_gamma 90.00
loop_
_atom_site_label
_atom_site_type_symbol
_atom_site_fract_x
_atom_site_fract_y
_atom_site_fract_z
Ho1 Ho 0.0000 0.0000 0.0000
Ho2 Ho 0.1307 0.0000 0.6349
Cu1 Cu 0.1674 0.5000 0.9802
Cu2 Cu 0.1765 0.5000 0.3683
Sn1 Sn 0.0034 0.5000 0.3002
Sn2 Sn 0.2154 0.0000 0.2077
```

The 10 most intense peaks (10 to 90 degrees two-theta), by angle:
| d_spacing | intensity | h k l |
| --- | --- | --- |
| 2.701 | 29.4 | 6 0 -1 |
| 2.692 | 100.0 | 1 1 -2 |
| 2.622 | 97.6 | 5 1 -1 |
| 2.444 | 16.3 | 6 0 0 |
| 2.231 | 42.9 | 0 2 0 |
| 2.091 | 22.4 | 6 0 -3 |
| 2.004 | 18.8 | 3 1 2 |
| 1.720 | 15.4 | 6 2 -1 |
| 1.526 | 16.1 | 6 2 -3 |
| 1.352 | 12.7 | 5 3 -1 |

***

Simulated XRD peak list of K3UO2F5 for CuKα, from a PBE-relaxed structure.
Neutral-atom scattering factors, no anomalous dispersion.

```
data_K3UO2F5
_chemical_formula_sum 'K24 U8 O16 F40'
_symmetry_space_group_name_H-M 'I 41/a'
_symmetry_Int_Tables_number 88
_cell_length_a 9.3030
_cell_length_b 9.3030
_cell_length_c 18.4507
_cell_angle_alpha 90.00
_cell_angle_beta 90.00
_cell_angle_gamma 90.00
loop_
_symmetry_equiv_pos_as_xyz
'x,y,z'
'-x,-y,-z'
'-y+3/4,x+1/4,z+1/4'
'y+3/4,-x+1/4,-z+1/4'
'-x+1/2,-y,z+1/2'
'x+1/2,y,-z+1/2'
'y+3/4,-x+3/4,z+3/4'
'-y+3/4,x+3/4,-z+3/4'
'x+1/2,y+1/2,z+1/2'
'-x+1/2,-y+1/2,-z+1/2'
'-y+1/4,x+3/4,z+3/4'
'y+1/4,-x+3/4,-z+3/4'
'-x,-y+1/2,z'
'x,y+1/2,-z'
'y+1/4,-x+1/4,z+1/4'
'-y+1/4,x+1/4,-z+1/4'
loop_
_atom_site_label
_atom_site_type_symbol
_atom_site_fract_x
_atom_site_fract_y
_atom_site_fract_z
K1 K 0.0000 0.2500 0.1250
K2 K 0.0000 0.2500 0.6250
K3 K 0.2162 0.4839 0.4888
U1 U 0.0000 0.2500 0.3557
O1 O 0.0447 0.0558 0.8947
F1 F 0.0000 0.2500 0.4800
F2 F 0.0197 0.1076 0.2566
F3 F 0.0520 0.0214 0.3950
```

The 10 most intense peaks (10 to 90 degrees two-theta), by angle:
| d_spacing | intensity | h k l |
| --- | --- | --- |
| 5.356 | 100.0 | 1 1 2 |
| 4.651 | 44.7 | 2 0 0 |
| 4.613 | 12.6 | 0 0 4 |
| 3.289 | 35.4 | 2 2 0 |
| 3.275 | 62.3 | 2 0 4 |
| 2.803 | 30.1 | 3 1 2 |
| 2.326 | 22.4 | 4 0 0 |
| 2.079 | 18.7 | 4 2 0 |
| 1.896 | 30.8 | 4 2 4 |
| 1.790 | 13.2 | 5 1 2 |